No. 1
NaSc2Cd8: simulated powder diffraction line list (Cu Kα (λ = 1.5418 Å)), based on a GGA-PBE-relaxed structure.
Neutral-atom scattering factors, no anomalous dispersion.

Crystal structure
```
data_NaSc2Cd8
_chemical_formula_sum 'Na2 Sc4 Cd16'
_cell_length_a 4.950
_cell_length_b 6.813
_cell_length_c 14.880
_cell_angle_alpha 90.00
_cell_angle_beta 90.00
_cell_angle_gamma 90.00
_space_group_name_H-M_alt 'I m m m'
_space_group_IT_number 71
_space_group_name_Hall '-I 2 2'
loop_
_atom_site_label
_atom_site_type_symbol
_atom_site_fract_x
_atom_site_fract_y
_atom_site_fract_z
_atom_site_occupancy
Na1 Na 0.000 0.000 0.000 1
Sc1 Sc 0.000 0.000 0.310 1
Cd1 Cd 0.000 0.209 0.500 1
Cd2 Cd 0.000 0.278 0.150 1
Cd3 Cd 0.000 0.500 0.338 1
```

Most intense lines, 10 to 90 degrees two-theta, sorted by position:
- 25.26°, I = 6, hkl 1 1 2
- 25.42°, I = 16, hkl 1 0 3
- 32.86°, I = 13, hkl 1 1 4
- 35.19°, I = 9, hkl 1 0 5
- 36.26°, I = 55, hkl 2 0 0
- 36.80°, I = 100, hkl 1 2 3
- 40.17°, I = 7, hkl 0 3 1
- 52.21°, I = 16, hkl 2 0 6
- 65.59°, I = 27, hkl 3 2 3
- 66.64°, I = 10, hkl 2 4 0
- 71.80°, I = 6, hkl 2 3 7
- 76.96°, I = 7, hkl 1 5 4


No. 2
Na3CdSe2: simulated powder diffraction line list (Cu Kα (λ = 1.5418 Å)), based on a GGA-PBE-relaxed structure.
Neutral-atom scattering factors, no anomalous dispersion.

Crystal structure
```
data_Na3CdSe2
_chemical_formula_sum 'Na12 Cd4 Se8'
_cell_length_a 7.048
_cell_length_b 13.921
_cell_length_c 7.029
_cell_angle_alpha 90.00
_cell_angle_beta 90.00
_cell_angle_gamma 90.00
_space_group_name_H-M_alt 'I b a m'
_space_group_IT_number 72
_space_group_name_Hall '-I 2 2c'
loop_
_atom_site_label
_atom_site_type_symbol
_atom_site_fract_x
_atom_site_fract_y
_atom_site_fract_z
_atom_site_occupancy
Na1 Na 0.000 0.000 0.250 1
Na2 Na 0.000 0.267 0.250 1
Cd1 Cd 0.000 0.500 0.000 1
Se1 Se 0.216 0.136 0.000 1
```

Most intense lines, 10 to 90 degrees two-theta, sorted by position:
- 14.08°, I = 30, hkl 1 1 0
- 21.95°, I = 100, hkl 1 2 1
- 25.34°, I = 31, hkl 0 0 2
- 28.42°, I = 28, hkl 0 2 2
- 29.10°, I = 31, hkl 1 1 2
- 34.45°, I = 46, hkl 1 3 2
- 36.28°, I = 65, hkl 2 4 0
- 38.42°, I = 24, hkl 2 2 2
- 42.66°, I = 28, hkl 1 2 3
- 44.77°, I = 21, hkl 2 4 2
- 46.96°, I = 31, hkl 3 1 2
- 65.08°, I = 20, hkl 2 4 4


No. 3
NaCdSe: simulated powder diffraction line list (Cu Kα (λ = 1.5418 Å)), based on a GGA-PBE-relaxed structure.
Neutral-atom scattering factors, no anomalous dispersion.

Crystal structure
```
data_NaCdSe
_chemical_formula_sum 'Na2 Cd2 Se2'
_cell_length_a 5.731
_cell_length_b 4.202
_cell_length_c 7.140
_cell_angle_alpha 90.00
_cell_angle_beta 110.28
_cell_angle_gamma 90.00
_space_group_name_H-M_alt 'P 1 m 1'
_space_group_IT_number 6
_space_group_name_Hall 'P -2y'
loop_
_atom_site_label
_atom_site_type_symbol
_atom_site_fract_x
_atom_site_fract_y
_atom_site_fract_z
_atom_site_occupancy
Na1 Na 0.000 0.000 0.000 1
Na2 Na 0.428 0.000 0.719 1
Cd1 Cd 0.038 0.500 0.380 1
Cd2 Cd 0.498 0.500 0.341 1
Se1 Se 0.635 0.500 0.015 1
Se2 Se 0.866 0.000 0.562 1
```

Most intense lines, 10 to 90 degrees two-theta, sorted by position:
- 13.22°, I = 100, hkl 0 0 1
- 21.14°, I = 36, hkl 0 1 0
- 25.02°, I = 85, hkl 0 1 1
- 32.63°, I = 21, hkl 1 1 1
- 34.24°, I = 48, hkl 0 1 2
- 34.81°, I = 27, hkl 2 0 -2
- 38.05°, I = 39, hkl 2 1 -1
- 39.81°, I = 36, hkl 2 1 0
- 40.25°, I = 24, hkl 2 0 1
- 41.09°, I = 43, hkl 2 1 -2
- 43.06°, I = 33, hkl 0 2 0
- 46.04°, I = 28, hkl 0 1 3


No. 4
Na4Cd3Se5: simulated powder diffraction line list (Cu Kα (λ = 1.5418 Å)), based on a GGA-PBE-relaxed structure.
Neutral-atom scattering factors, no anomalous dispersion.

Crystal structure
```
data_Na4Cd3Se5
_chemical_formula_sum 'Na16 Cd12 Se20'
_cell_length_a 14.270
_cell_length_b 4.295
_cell_length_c 20.520
_cell_angle_alpha 90.00
_cell_angle_beta 90.00
_cell_angle_gamma 90.00
_space_group_name_H-M_alt 'P n m a'
_space_group_IT_number 62
_space_group_name_Hall '-P 2ac 2n'
loop_
_atom_site_label
_atom_site_type_symbol
_atom_site_fract_x
_atom_site_fract_y
_atom_site_fract_z
_atom_site_occupancy
Na1 Na 0.001 0.250 0.233 1
Na2 Na 0.005 0.250 0.579 1
Na3 Na 0.110 0.250 0.053 1
Na4 Na 0.223 0.750 0.666 1
Cd1 Cd 0.076 0.250 0.870 1
Cd2 Cd 0.182 0.750 0.284 1
Cd3 Cd 0.206 0.250 0.465 1
Se1 Se 0.108 0.750 0.946 1
Se2 Se 0.113 0.250 0.349 1
Se3 Se 0.114 0.750 0.157 1
Se4 Se 0.140 0.250 0.748 1
Se5 Se 0.146 0.750 0.532 1
```

Most intense lines, 10 to 90 degrees two-theta, sorted by position:
- 10.62°, I = 100, hkl 1 0 2
- 21.33°, I = 58, hkl 2 0 4
- 23.30°, I = 59, hkl 1 1 2
- 24.47°, I = 78, hkl 0 1 3
- 24.99°, I = 89, hkl 4 0 0
- 27.53°, I = 79, hkl 2 1 3
- 31.65°, I = 51, hkl 5 0 1
- 34.10°, I = 46, hkl 1 1 6
- 37.14°, I = 72, hkl 0 1 7
- 41.88°, I = 83, hkl 5 1 4
- 42.08°, I = 91, hkl 0 2 0
- 44.01°, I = 64, hkl 6 0 5


No. 5
Na5Cd2Se5: simulated powder diffraction line list (Cu Kα (λ = 1.5418 Å)), based on a GGA-PBE-relaxed structure.
Neutral-atom scattering factors, no anomalous dispersion.

Crystal structure
```
data_Na5Cd2Se5
_chemical_formula_sum 'Na10 Cd4 Se10'
_cell_length_a 9.780
_cell_length_b 9.780
_cell_length_c 6.947
_cell_angle_alpha 90.00
_cell_angle_beta 90.00
_cell_angle_gamma 90.00
_space_group_name_H-M_alt 'I 4 m m'
_space_group_IT_number 107
_space_group_name_Hall 'I 4 -2'
loop_
_atom_site_label
_atom_site_type_symbol
_atom_site_fract_x
_atom_site_fract_y
_atom_site_fract_z
_atom_site_occupancy
Na1 Na 0.000 0.000 0.000 1
Na2 Na 0.201 0.201 0.448 1
Cd1 Cd 0.000 0.500 0.368 1
Se1 Se 0.000 0.000 0.576 1
Se2 Se 0.000 0.292 0.120 1
```

Most intense lines, 10 to 90 degrees two-theta, sorted by position:
- 12.80°, I = 60, hkl 1 1 0
- 18.14°, I = 53, hkl 2 0 0
- 24.04°, I = 75, hkl 2 1 1
- 28.76°, I = 24, hkl 1 1 2
- 30.29°, I = 27, hkl 3 0 1
- 36.71°, I = 100, hkl 4 0 0
- 39.00°, I = 63, hkl 3 1 2
- 44.26°, I = 21, hkl 2 1 3
- 47.35°, I = 39, hkl 3 3 2
- 52.05°, I = 18, hkl 5 2 1
- 65.30°, I = 16, hkl 5 2 3
- 79.59°, I = 14, hkl 7 3 2


No. 6
Na2CdSnSe4: simulated powder diffraction line list (Cu Kα (λ = 1.5418 Å)), based on a GGA-PBE-relaxed structure.
Neutral-atom scattering factors, no anomalous dispersion.

Crystal structure
```
data_Na2CdSnSe4
_chemical_formula_sum 'Na4 Cd2 Sn2 Se8'
_cell_length_a 8.537
_cell_length_b 8.238
_cell_length_c 7.260
_cell_angle_alpha 90.00
_cell_angle_beta 90.00
_cell_angle_gamma 90.00
_space_group_name_H-M_alt 'P m n 21'
_space_group_IT_number 31
_space_group_name_Hall 'P 2ac -2'
loop_
_atom_site_label
_atom_site_type_symbol
_atom_site_fract_x
_atom_site_fract_y
_atom_site_fract_z
_atom_site_occupancy
Na1 Na 0.244 0.167 0.000 1
Cd1 Cd 0.000 0.358 0.492 1
Sn1 Sn 0.000 0.659 0.000 1
Se1 Se 0.000 0.374 0.864 1
Se2 Se 0.000 0.655 0.352 1
Se3 Se 0.244 0.823 0.899 1
```

Most intense lines, 10 to 90 degrees two-theta, sorted by position:
- 10.74°, I = 53, hkl 0 1 0
- 16.27°, I = 73, hkl 0 1 1
- 23.47°, I = 100, hkl 2 1 0
- 24.52°, I = 78, hkl 0 0 2
- 26.53°, I = 43, hkl 2 1 1
- 32.63°, I = 32, hkl 2 2 1
- 34.21°, I = 40, hkl 2 1 2
- 39.00°, I = 75, hkl 2 3 0
- 42.35°, I = 34, hkl 4 0 0
- 43.37°, I = 39, hkl 0 2 3
- 44.42°, I = 59, hkl 2 1 3
- 46.61°, I = 47, hkl 2 3 2


No. 7
Na2TaCdSe4: simulated powder diffraction line list (Cu Kα (λ = 1.5418 Å)), based on a GGA-PBE-relaxed structure.
Neutral-atom scattering factors, no anomalous dispersion.

Crystal structure
```
data_Na2TaCdSe4
_chemical_formula_sum 'Na4 Ta2 Cd2 Se8'
_cell_length_a 6.484
_cell_length_b 6.484
_cell_length_c 12.222
_cell_angle_alpha 90.00
_cell_angle_beta 90.00
_cell_angle_gamma 90.00
_space_group_name_H-M_alt 'I -4'
_space_group_IT_number 82
_space_group_name_Hall 'I -4'
loop_
_atom_site_label
_atom_site_type_symbol
_atom_site_fract_x
_atom_site_fract_y
_atom_site_fract_z
_atom_site_occupancy
Na1 Na 0.000 0.000 0.000 1
Na2 Na 0.000 0.500 0.250 1
Ta1 Ta 0.000 0.500 0.750 1
Cd1 Cd 0.000 0.000 0.500 1
Se1 Se 0.208 0.726 0.635 1
```

Most intense lines, 10 to 90 degrees two-theta, sorted by position:
- 15.47°, I = 69, hkl 1 0 1
- 24.27°, I = 100, hkl 1 1 2
- 31.71°, I = 12, hkl 2 1 1
- 38.09°, I = 17, hkl 1 2 3
- 39.31°, I = 27, hkl 2 2 0
- 40.57°, I = 47, hkl 2 0 4
- 46.73°, I = 28, hkl 1 3 2
- 48.93°, I = 14, hkl 1 1 6
- 51.35°, I = 12, hkl 3 2 1
- 56.82°, I = 12, hkl 4 0 0
- 64.48°, I = 11, hkl 3 1 6
- 72.10°, I = 12, hkl 4 2 4


No. 8
Na2CdTeSe4: simulated powder diffraction line list (Cu Kα (λ = 1.5418 Å)), based on a GGA-PBE-relaxed structure.
Neutral-atom scattering factors, no anomalous dispersion.

Crystal structure
```
data_Na2CdTeSe4
_chemical_formula_sum 'Na8 Cd4 Te4 Se16'
_cell_length_a 8.210
_cell_length_b 8.377
_cell_length_c 11.852
_cell_angle_alpha 90.00
_cell_angle_beta 90.00
_cell_angle_gamma 90.00
_space_group_name_H-M_alt 'I m m a'
_space_group_IT_number 74
_space_group_name_Hall '-I 2b 2'
loop_
_atom_site_label
_atom_site_type_symbol
_atom_site_fract_x
_atom_site_fract_y
_atom_site_fract_z
_atom_site_occupancy
Na1 Na 0.000 0.000 0.000 1
Na2 Na 0.250 0.250 0.250 1
Cd1 Cd 0.000 0.000 0.500 1
Te1 Te 0.250 0.250 0.750 1
Se1 Se 0.000 0.015 0.750 1
Se2 Se 0.235 0.250 0.510 1
```

Most intense lines, 10 to 90 degrees two-theta, sorted by position:
- 12.94°, I = 33, hkl 0 1 1
- 13.12°, I = 23, hkl 1 0 1
- 30.16°, I = 52, hkl 0 0 4
- 30.49°, I = 100, hkl 2 2 0
- 43.20°, I = 18, hkl 0 4 0
- 43.42°, I = 73, hkl 2 2 4
- 44.12°, I = 17, hkl 4 0 0
- 53.59°, I = 19, hkl 0 4 4
- 54.38°, I = 18, hkl 4 0 4
- 71.34°, I = 23, hkl 2 2 8
- 71.85°, I = 15, hkl 4 4 4
- 80.68°, I = 11, hkl 6 2 4


No. 9
NaCdSi: simulated powder diffraction line list (Cu Kα (λ = 1.5418 Å)), based on a GGA-PBE-relaxed structure.
Neutral-atom scattering factors, no anomalous dispersion.

Crystal structure
```
data_NaCdSi
_chemical_formula_sum 'Na4 Cd4 Si4'
_cell_length_a 3.982
_cell_length_b 8.514
_cell_length_c 7.845
_cell_angle_alpha 90.00
_cell_angle_beta 90.00
_cell_angle_gamma 90.00
_space_group_name_H-M_alt 'I m a 2'
_space_group_IT_number 46
_space_group_name_Hall 'I 2 -2a'
loop_
_atom_site_label
_atom_site_type_symbol
_atom_site_fract_x
_atom_site_fract_y
_atom_site_fract_z
_atom_site_occupancy
Na1 Na 0.250 0.162 0.000 1
Cd1 Cd 0.250 0.623 0.183 1
Si1 Si 0.250 0.581 0.825 1
```

Most intense lines, 10 to 90 degrees two-theta, sorted by position:
- 15.36°, I = 86, hkl 0 1 1
- 22.67°, I = 41, hkl 0 0 2
- 24.68°, I = 43, hkl 1 1 0
- 32.85°, I = 100, hkl 1 2 1
- 33.58°, I = 19, hkl 0 3 1
- 33.76°, I = 64, hkl 1 1 2
- 35.92°, I = 41, hkl 0 1 3
- 38.97°, I = 28, hkl 1 3 0
- 42.47°, I = 18, hkl 0 4 0
- 45.56°, I = 42, hkl 2 0 0
- 46.71°, I = 37, hkl 1 2 3
- 64.03°, I = 19, hkl 2 4 0


No. 10
Na2SmCd9: simulated powder diffraction line list (Cu Kα (λ = 1.5418 Å)), based on a GGA-PBE-relaxed structure.
Neutral-atom scattering factors, no anomalous dispersion.

Crystal structure
```
data_Na2SmCd9
_chemical_formula_sum 'Na6 Sm3 Cd27'
_cell_length_a 5.9338
_cell_length_b 5.9338
_cell_length_c 28.9180
_cell_angle_alpha 90.00
_cell_angle_beta 90.00
_cell_angle_gamma 120.00
_space_group_name_H-M_alt 'R -3 m'
_space_group_IT_number 166
_space_group_name_Hall '-R 3 2"'
loop_
_atom_site_label
_atom_site_type_symbol
_atom_site_fract_x
_atom_site_fract_y
_atom_site_fract_z
_atom_site_occupancy
Na1 Na 0.0000 0.0000 0.1427 1
Sm1 Sm 0.0000 0.0000 0.0000 1
Cd1 Cd 0.0000 0.0000 0.3346 1
Cd2 Cd 0.0000 0.0000 0.5000 1
Cd3 Cd 0.0059 0.5029 0.9153 1
```

Most intense lines, 10 to 90 degrees two-theta, sorted by position:
- 17.53°, I = 25, hkl 1 0 1
- 21.21°, I = 15, hkl 1 0 4
- 30.12°, I = 11, hkl 1 1 0
- 35.06°, I = 22, hkl 0 2 1
- 35.52°, I = 100, hkl 1 1 6
- 37.31°, I = 29, hkl 0 0 12
- 38.33°, I = 29, hkl 2 0 5
- 41.39°, I = 23, hkl 0 2 7
- 57.05°, I = 24, hkl 0 3 6
- 62.62°, I = 20, hkl 2 2 0
- 75.22°, I = 21, hkl 2 2 12
- 89.79°, I = 12, hkl 4 1 6


No. 11
Na5CdSn: simulated powder diffraction line list (Cu Kα (λ = 1.5418 Å)), based on a GGA-PBE-relaxed structure.
Neutral-atom scattering factors, no anomalous dispersion.

Crystal structure
```
data_Na5CdSn
_chemical_formula_sum 'Na20 Cd4 Sn4'
_cell_length_a 8.902
_cell_length_b 7.364
_cell_length_c 13.115
_cell_angle_alpha 90.00
_cell_angle_beta 90.00
_cell_angle_gamma 90.00
_space_group_name_H-M_alt 'C m c m'
_space_group_IT_number 63
_space_group_name_Hall '-C 2c 2'
loop_
_atom_site_label
_atom_site_type_symbol
_atom_site_fract_x
_atom_site_fract_y
_atom_site_fract_z
_atom_site_occupancy
Na1 Na 0.000 0.040 0.250 1
Na2 Na 0.204 0.338 0.107 1
Cd1 Cd 0.000 0.384 0.750 1
Sn1 Sn 0.000 0.000 0.000 1
```

Most intense lines, 10 to 90 degrees two-theta, sorted by position:
- 19.95°, I = 27, hkl 2 0 0
- 20.70°, I = 100, hkl 1 1 2
- 25.73°, I = 16, hkl 1 1 3
- 31.53°, I = 26, hkl 2 2 0
- 31.77°, I = 23, hkl 0 2 3
- 32.28°, I = 31, hkl 2 2 1
- 33.96°, I = 51, hkl 2 0 4
- 35.37°, I = 30, hkl 3 1 2
- 38.03°, I = 18, hkl 1 3 0
- 44.41°, I = 16, hkl 1 1 6
- 55.83°, I = 18, hkl 2 4 2
- 56.13°, I = 21, hkl 0 0 8


No. 12
NaCdSn2: simulated powder diffraction line list (Cu Kα (λ = 1.5418 Å)), based on a GGA-PBE-relaxed structure.
Neutral-atom scattering factors, no anomalous dispersion.

Crystal structure
```
data_NaCdSn2
_chemical_formula_sum 'Na4 Cd4 Sn8'
_cell_length_a 8.302
_cell_length_b 8.302
_cell_length_c 6.194
_cell_angle_alpha 90.00
_cell_angle_beta 90.00
_cell_angle_gamma 90.00
_space_group_name_H-M_alt 'P 42/m c m'
_space_group_IT_number 132
_space_group_name_Hall '-P 4c 2c'
loop_
_atom_site_label
_atom_site_type_symbol
_atom_site_fract_x
_atom_site_fract_y
_atom_site_fract_z
_atom_site_occupancy
Na1 Na 0.000 0.500 0.250 1
Cd1 Cd 0.121 0.121 0.000 1
Sn1 Sn 0.254 0.254 0.500 1
Sn2 Sn 0.369 0.369 0.000 1
```

Most intense lines, 10 to 90 degrees two-theta, sorted by position:
- 15.09°, I = 34, hkl 1 1 0
- 21.41°, I = 17, hkl 2 0 0
- 28.83°, I = 48, hkl 0 0 2
- 30.46°, I = 16, hkl 2 2 0
- 32.69°, I = 25, hkl 1 1 2
- 33.79°, I = 64, hkl 2 2 1
- 34.15°, I = 23, hkl 3 1 0
- 36.19°, I = 21, hkl 2 0 2
- 37.20°, I = 100, hkl 3 1 1
- 54.33°, I = 16, hkl 2 2 3
- 56.72°, I = 30, hkl 3 1 3
- 58.63°, I = 28, hkl 5 1 1


Number 3 is which compound? NaCdSe